Theoretical powder diffraction line list
Compound: PrDyN
Radiation: Cu Ka
Structure: a PBE-relaxed structure
No peak broadening, texture or thermal motion is included.

Most intense lines, 5 to 70 degrees two-theta, by angle:
2θ = 16.81°, I = 1, hkl 0 0 1; 2θ = 30.82°, I = 100, hkl 1 0 1; 2θ = 34.00°, I = 23, hkl 0 0 2; 2θ = 36.58°, I = 38, hkl 1 1 0; 2θ = 40.51°, I = 1, hkl 1 1 1; 2θ = 50.80°, I = 29, hkl 1 1 2; 2θ = 52.70°, I = 13, hkl 2 0 0; 2θ = 58.88°, I = 16, hkl 1 0 3; 2θ = 62.31°, I = 28, hkl 2 1 1; 2θ = 64.21°, I = 14, hkl 2 0 2

Cell and atoms:
```
data_PrDyN
_space_group_name_H-M_alt 'P 4/m m m'
_space_group_IT_number 123
_space_group_name_Hall '-P 4 2'
_cell_length_a 3.474
_cell_length_b 3.474
_cell_length_c 5.273
_cell_angle_alpha 90.00
_cell_angle_beta 90.00
_cell_angle_gamma 90.00
loop_
_atom_site_label
_atom_site_fract_x
_atom_site_fract_y
_atom_site_fract_z
Pr1 0.000 0.000 0.000
Dy1 0.500 0.500 0.500
N1 0.000 0.000 0.500
```

Theoretical powder diffraction line list
Compound: PrDy2SbN4
Radiation: Cu Ka
Structure: a PBE-relaxed structure
No peak broadening, texture or thermal motion is included.

Most intense lines, 5 to 70 degrees two-theta, by angle:
2θ = 30.67°, I = 100, hkl 0 0 4; 2θ = 31.49°, I = 42, hkl 1 1 2; 2θ = 33.33°, I = 19, hkl 1 3 0; 2θ = 34.23°, I = 10, hkl 1 3 1; 2θ = 43.02°, I = 13, hkl 1 5 0; 2θ = 45.96°, I = 18, hkl 1 3 4; 2θ = 53.79°, I = 11, hkl 1 5 4; 2θ = 54.57°, I = 13, hkl 0 4 6; 2θ = 55.11°, I = 9, hkl 1 1 6; 2θ = 64.05°, I = 30, hkl 0 0 8

Cell and atoms:
```
data_PrDy2SbN4
_space_group_name_H-M_alt 'C m c m'
_space_group_IT_number 63
_space_group_name_Hall '-C 2c 2'
_cell_length_a 3.354
_cell_length_b 13.491
_cell_length_c 11.640
_cell_angle_alpha 90.00
_cell_angle_beta 90.00
_cell_angle_gamma 90.00
loop_
_atom_site_label
_atom_site_fract_x
_atom_site_fract_y
_atom_site_fract_z
Pr1 0.000 0.237 0.250
Dy1 0.000 0.369 0.503
Sb1 0.000 0.014 0.750
N1 0.000 0.000 0.000
N2 0.000 0.212 0.605
N3 0.000 0.413 0.750
```

Theoretical powder diffraction line list
Compound: RbDyTcN3
Radiation: Cu Ka
Structure: a PBE-relaxed structure
No peak broadening, texture or thermal motion is included.

Most intense lines, 5 to 70 degrees two-theta, by angle:
2θ = 11.24°, I = 100, hkl 0 0 1; 2θ = 29.18°, I = 41, hkl 2 0 2; 2θ = 30.83°, I = 89, hkl 3 1 0; 2θ = 30.94°, I = 38, hkl 4 0 -2; 2θ = 31.09°, I = 16, hkl 3 1 -1; 2θ = 31.95°, I = 90, hkl 1 1 -2; 2θ = 40.69°, I = 16, hkl 1 1 -3; 2θ = 41.31°, I = 26, hkl 6 0 0; 2θ = 46.87°, I = 23, hkl 0 2 0; 2θ = 54.25°, I = 21, hkl 7 1 -2

Cell and atoms:
```
data_RbDyTcN3
_space_group_name_H-M_alt 'C 1 2/m 1'
_space_group_IT_number 12
_cell_length_a 13.523
_cell_length_b 3.877
_cell_length_c 8.117
_cell_angle_alpha 90.00
_cell_angle_beta 104.15
_cell_angle_gamma 90.00
loop_
_space_group_symop_operation_xyz
'x,y,z'
'-x,-y,-z'
'-x,y,-z'
'x,-y,z'
'x+1/2,y+1/2,z'
'-x+1/2,-y+1/2,-z'
'-x+1/2,y+1/2,-z'
'x+1/2,-y+1/2,z'
loop_
_atom_site_label
_atom_site_fract_x
_atom_site_fract_y
_atom_site_fract_z
Rb1 0.142 0.000 0.071
Dy1 0.162 0.000 0.567
Tc1 0.002 0.500 0.335
N1 0.012 0.000 0.335
N2 0.134 0.500 0.773
N3 0.163 0.500 0.388
```

Theoretical powder diffraction line list
Compound: DyRe3N8
Radiation: Cu Ka
Structure: a PBE-relaxed structure
No peak broadening, texture or thermal motion is included.

Most intense lines, 5 to 70 degrees two-theta, by angle:
2θ = 17.84°, I = 22, hkl 1 0 0; 2θ = 22.84°, I = 95, hkl 0 1 1; 2θ = 31.16°, I = 100, hkl 1 1 0; 2θ = 33.84°, I = 78, hkl 1 0 2; 2θ = 46.66°, I = 40, hkl 0 2 2; 2θ = 50.73°, I = 23, hkl 1 2 1; 2θ = 55.45°, I = 20, hkl 3 0 0; 2θ = 57.18°, I = 38, hkl 2 1 2; 2θ = 64.99°, I = 15, hkl 2 2 0; 2θ = 68.24°, I = 15, hkl 1 1 4

Cell and atoms:
```
data_DyRe3N8
_space_group_name_H-M_alt 'P -3 m 1'
_space_group_IT_number 164
_space_group_name_Hall '-P 3 2"'
_cell_length_a 5.7402
_cell_length_b 5.7402
_cell_length_c 6.2618
_cell_angle_alpha 90.00
_cell_angle_beta 90.00
_cell_angle_gamma 120.00
loop_
_atom_site_label
_atom_site_fract_x
_atom_site_fract_y
_atom_site_fract_z
Dy1 0.0000 0.0000 0.0000
Re1 0.0000 0.0000 0.5000
Re2 0.3333 0.6667 0.7812
N1 0.1558 0.3116 0.6930
N2 0.3333 0.6667 0.0598
```

Theoretical powder diffraction line list
Compound: Dy6ReN8
Radiation: Cu Ka
Structure: a PBE-relaxed structure
No peak broadening, texture or thermal motion is included.

Most intense lines, 5 to 70 degrees two-theta, by angle:
2θ = 29.86°, I = 21, hkl 0 2 1; 2θ = 31.49°, I = 100, hkl 1 1 3; 2θ = 31.80°, I = 17, hkl 2 0 2; 2θ = 37.66°, I = 14, hkl 0 0 6; 2θ = 39.47°, I = 19, hkl 3 -1 1; 2θ = 41.01°, I = 14, hkl 3 -2 2; 2θ = 44.41°, I = 28, hkl 3 0 0; 2θ = 45.86°, I = 30, hkl 2 -1 6; 2θ = 60.36°, I = 20, hkl 1 3 4; 2θ = 64.15°, I = 13, hkl 2 -1 9

Cell and atoms:
```
data_Dy6ReN8
_space_group_name_H-M_alt 'R -3'
_space_group_IT_number 148
_space_group_name_Hall '-R 3'
_cell_length_a 7.0658
_cell_length_b 7.0658
_cell_length_c 14.3322
_cell_angle_alpha 90.00
_cell_angle_beta 90.00
_cell_angle_gamma 120.00
loop_
_atom_site_label
_atom_site_fract_x
_atom_site_fract_y
_atom_site_fract_z
Dy1 0.0276 0.3986 0.4162
Re1 0.0000 0.0000 0.5000
N1 0.0000 0.0000 0.1692
N2 0.0145 0.2486 0.5850
```

Theoretical powder diffraction line list
Compound: Sr2DyReN4
Radiation: Cu Ka
Structure: a PBE-relaxed structure
No peak broadening, texture or thermal motion is included.

Most intense lines, 5 to 70 degrees two-theta, by angle:
2θ = 18.94°, I = 23, hkl 1 0 1; 2θ = 29.74°, I = 49, hkl 2 0 0; 2θ = 31.87°, I = 100, hkl 1 1 2; 2θ = 35.50°, I = 7, hkl 2 1 1; 2θ = 42.56°, I = 25, hkl 2 2 0; 2θ = 48.66°, I = 7, hkl 0 0 4; 2θ = 54.14°, I = 44, hkl 3 1 2; 2θ = 58.08°, I = 19, hkl 2 0 4; 2θ = 61.76°, I = 8, hkl 4 0 0; 2θ = 66.60°, I = 11, hkl 2 2 4

Cell and atoms:
```
data_Sr2DyReN4
_space_group_name_H-M_alt 'I -4'
_space_group_IT_number 82
_cell_length_a 6.008
_cell_length_b 6.008
_cell_length_c 7.485
_cell_angle_alpha 90.00
_cell_angle_beta 90.00
_cell_angle_gamma 90.00
loop_
_space_group_symop_operation_xyz
'x,y,z'
'y,-x,-z'
'-x,-y,z'
'-y,x,-z'
'x+1/2,y+1/2,z+1/2'
'y+1/2,-x+1/2,-z+1/2'
'-x+1/2,-y+1/2,z+1/2'
'-y+1/2,x+1/2,-z+1/2'
loop_
_atom_site_label
_atom_site_fract_x
_atom_site_fract_y
_atom_site_fract_z
Sr1 0.000 0.000 0.000
Sr2 0.000 0.500 0.250
Dy1 0.000 0.000 0.500
Re1 0.000 0.500 0.750
N1 0.183 0.258 0.669
```

Theoretical powder diffraction line list
Compound: TbDy2RuN4
Radiation: Cu Ka
Structure: a PBE-relaxed structure
No peak broadening, texture or thermal motion is included.

Most intense lines, 5 to 70 degrees two-theta, by angle:
2θ = 27.70°, I = 45, hkl 0 2 3; 2θ = 30.75°, I = 41, hkl 0 0 4; 2θ = 30.91°, I = 65, hkl 0 4 0; 2θ = 31.51°, I = 100, hkl 1 1 2; 2θ = 38.60°, I = 100, hkl 1 3 2; 2θ = 44.16°, I = 30, hkl 0 4 4; 2θ = 48.09°, I = 23, hkl 1 1 5; 2θ = 50.25°, I = 23, hkl 1 5 2; 2θ = 63.60°, I = 27, hkl 2 4 0; 2θ = 64.77°, I = 24, hkl 1 7 2

Cell and atoms:
```
data_TbDy2RuN4
_space_group_name_H-M_alt 'C m c m'
_space_group_IT_number 63
_space_group_name_Hall '-C 2c 2'
_cell_length_a 3.389
_cell_length_b 11.570
_cell_length_c 11.631
_cell_angle_alpha 90.00
_cell_angle_beta 90.00
_cell_angle_gamma 90.00
loop_
_atom_site_label
_atom_site_fract_x
_atom_site_fract_y
_atom_site_fract_z
Tb1 0.000 0.128 0.250
Dy1 0.000 0.369 0.042
Ru1 0.000 0.136 0.750
N1 0.000 0.000 0.000
N2 0.000 0.268 0.631
N3 0.000 0.450 0.250
```

Theoretical powder diffraction line list
Compound: Dy4SN3
Radiation: Cu Ka
Structure: a PBE-relaxed structure
No peak broadening, texture or thermal motion is included.

Most intense lines, 5 to 70 degrees two-theta, by angle:
2θ = 29.89°, I = 24, hkl 0 0 12; 2θ = 30.77°, I = 100, hkl 1 0 4; 2θ = 35.43°, I = 99, hkl 0 1 8; 2θ = 50.40°, I = 22, hkl 1 0 16; 2θ = 51.54°, I = 39, hkl 1 1 0; 2θ = 57.29°, I = 12, hkl 1 0 19; 2θ = 60.73°, I = 21, hkl 1 1 12; 2θ = 61.24°, I = 15, hkl 0 2 4; 2θ = 64.10°, I = 17, hkl 2 0 8; 2θ = 67.36°, I = 13, hkl 0 1 23

Cell and atoms:
```
data_Dy4SN3
_space_group_name_H-M_alt 'R -3 m'
_space_group_IT_number 166
_space_group_name_Hall '-R 3 2"'
_cell_length_a 3.5464
_cell_length_b 3.5464
_cell_length_c 35.8662
_cell_angle_alpha 90.00
_cell_angle_beta 90.00
_cell_angle_gamma 120.00
loop_
_atom_site_label
_atom_site_fract_x
_atom_site_fract_y
_atom_site_fract_z
Dy1 0.0000 0.0000 0.1141
Dy2 0.0000 0.0000 0.3711
S1 0.0000 0.0000 0.5000
N1 0.0000 0.0000 0.0000
N2 0.0000 0.0000 0.2529
```